For U3Cu2Sb3, DFT lattice parameters and positions (PBE) gives the computed powder diffractogram in this record (Cu Kα (λ = 1.5418 Å)).
Kinematic intensities with the Lorentz-polarization factor, no thermal factor.

Cell and atoms:
Lattice parameters (Å, degrees): 4.4095 4.4095 22.8079 90.00 90.00 120.12
Positions (direct):
U 0.1665 0.8335 0.5785
U 0.1669 0.8331 0.7500
U 0.1665 0.8335 0.9215
U 0.8335 0.1665 0.0785
U 0.8331 0.1669 0.2500
U 0.8335 0.1665 0.4215
Cu 0.4998 0.5002 0.1898
Cu 0.4998 0.5002 0.3102
Cu 0.5002 0.4998 0.6898
Cu 0.5002 0.4998 0.8102
Sb 0.1666 0.8334 0.1597
Sb 0.1666 0.8334 0.3403
Sb 0.5000 0.5000 0.0000
Sb 0.5000 0.5000 0.5000
Sb 0.8334 0.1666 0.6597
Sb 0.8334 0.1666 0.8403

Principal peaks in the range 2θ = 5–70°, low angle first:
d = 3.764 Å, intensity 19
d = 2.927 Å, intensity 100
d = 2.693 Å, intensity 36
d = 2.478 Å, intensity 32
d = 2.203 Å, intensity 77
d = 1.958 Å, intensity 12
d = 1.901 Å, intensity 13
d = 1.760 Å, intensity 23
d = 1.440 Å, intensity 20
d = 1.376 Å, intensity 14